1.
Starting from a structure optimized by DFT (GGA-PBE), the powder diffractogram of Si17NiGe13P was simulated for Cu Kα X-rays.
No peak broadening, texture or thermal motion is included.

Crystal structure
Cell: 5.533 3.914 31.356 Å, 90.00 90.99 90.00°
Fractional positions:
Si  0.000  0.000  0.000
Si  0.001  0.000  0.626
Si  0.003  0.000  0.876
Si  0.026  0.000  0.129
Si  0.036  0.000  0.258
Si  0.222  0.500  0.370
Si  0.242  0.500  0.624
Si  0.246  0.500  0.875
Si  0.270  0.500  0.131
Si  0.445  0.500  0.306
Si  0.488  0.500  0.564
Si  0.503  0.500  0.815
Si  0.743  0.000  0.434
Si  0.744  0.000  0.815
Si  0.754  0.000  0.687
Si  0.760  0.000  0.937
Si  0.979  0.000  0.373
Ni  0.234  0.500  0.244
Ge  0.249  0.500  0.499
Ge  0.251  0.500  0.001
Ge  0.255  0.500  0.752
Ge  0.490  0.500  0.433
Ge  0.503  0.500  0.686
Ge  0.506  0.500  0.067
Ge  0.507  0.500  0.937
Ge  0.712  0.000  0.309
Ge  0.740  0.000  0.564
Ge  0.773  0.000  0.065
Ge  0.774  0.000  0.192
Ge  0.985  0.000  0.499
Ge  0.990  0.000  0.752
P  0.502  0.500  0.192

Principal peaks in the range 5° ≤ 2θ ≤ 70°, by intensity:
2θ (°)	d/Å	I (rel.)
27.92	3.195	100
27.67	3.224	50
28.13	3.172	49
46.09	1.969	48
46.37	1.958	46
46.70	1.945	42
55.19	1.664	26
11.29	7.838	19



2.
Starting from a structure optimized by DFT (GGA-PBE), the powder diffractogram of Si16NiGe12P3 was simulated for Cu Kα X-rays.
No peak broadening, texture or thermal motion is included.

Crystal structure
Cell: 6.780 10.288 10.367 Å, 81.37 71.00 83.52°
Fractional positions:
Si  0.000  0.000  0.000
Si  0.000  0.114  0.620
Si  0.010  0.616  0.120
Si  0.018  0.490  0.501
Si  0.139  0.694  0.513
Si  0.142  0.954  0.764
Si  0.143  0.073  0.384
Si  0.143  0.568  0.892
Si  0.516  0.936  0.684
Si  0.517  0.049  0.301
Si  0.526  0.431  0.179
Si  0.526  0.812  0.056
Si  0.630  0.022  0.066
Si  0.630  0.887  0.454
Si  0.638  0.766  0.827
Si  0.640  0.635  0.195
Ni  0.498  0.167  0.927
Ge  0.008  0.869  0.372
Ge  0.009  0.361  0.887
Ge  0.016  0.743  0.750
Ge  0.137  0.312  0.645
Ge  0.146  0.442  0.262
Ge  0.147  0.821  0.131
Ge  0.515  0.681  0.431
Ge  0.519  0.555  0.820
Ge  0.527  0.291  0.564
Ge  0.625  0.354  0.958
Ge  0.642  0.506  0.581
Ge  0.644  0.252  0.321
P  0.023  0.234  0.238
P  0.165  0.183  0.011
P  0.638  0.125  0.716

Principal peaks in the range 5° ≤ 2θ ≤ 70°, by intensity:
2θ (°)	d/Å	I (rel.)
27.87	3.201	100
28.08	3.178	98
46.34	1.959	47
46.45	1.955	46
54.98	1.670	27
46.57	1.950	23
46.82	1.940	22
55.04	1.668	21



3.
Starting from a structure optimized by DFT (GGA-PBE), the powder diffractogram of SrNi2GeP was simulated for Cu Kα X-rays.
No peak broadening, texture or thermal motion is included.

Crystal structure
Cell: 5.829 5.829 5.829 Å, 138.91 138.91 59.51°
Fractional positions:
Sr  0.000  0.000  0.000
Ni  0.259  0.759  0.500
Ni  0.759  0.259  0.500
Ge  0.637  0.637  0.000
P  0.359  0.359  0.000

Principal peaks in the range 5° ≤ 2θ ≤ 70°, by intensity:
2θ (°)	d/Å	I (rel.)
35.75	2.511	100
34.46	2.603	83
44.28	2.046	65
57.28	1.608	37
63.88	1.457	27
64.42	1.446	20
47.76	1.905	20
17.53	5.060	15



4.
Starting from a structure optimized by DFT (GGA-PBE), the powder diffractogram of PrNiGePb2 was simulated for Cu Kα X-rays.
No peak broadening, texture or thermal motion is included.

Crystal structure
Cell: 12.095 12.095 4.521 Å, 90.00 90.00 158.45°
Fractional positions:
Pr  0.180  0.820  0.000
Pr  0.820  0.180  0.000
Ni  0.375  0.625  0.500
Ni  0.625  0.375  0.500
Ge  0.279  0.721  0.500
Ge  0.721  0.279  0.500
Pb  0.065  0.935  0.500
Pb  0.435  0.565  0.000
Pb  0.565  0.435  0.000
Pb  0.935  0.065  0.500

Principal peaks in the range 5° ≤ 2θ ≤ 70°, by intensity:
2θ (°)	d/Å	I (rel.)
30.14	2.965	100
39.88	2.261	86
28.16	3.169	57
7.44	11.881	54
33.79	2.653	54
30.07	2.972	51
38.69	2.327	50
50.74	1.799	44



5.
Starting from a structure optimized by DFT (GGA-PBE), the powder diffractogram of NiGe2Pd was simulated for Cu Kα X-rays.
No peak broadening, texture or thermal motion is included.

Crystal structure
Cell: 3.427 5.742 6.194 Å, 90.00 90.00 90.00°
Fractional positions:
Ni  0.000  0.249  0.000
Ni  0.500  0.751  0.500
Ge  0.000  0.054  0.385
Ge  0.000  0.573  0.729
Ge  0.500  0.427  0.229
Ge  0.500  0.946  0.885
Pd  0.000  0.740  0.120
Pd  0.500  0.260  0.620

Principal peaks in the range 5° ≤ 2θ ≤ 70°, by intensity:
2θ (°)	d/Å	I (rel.)
43.65	2.074	100
42.37	2.133	71
33.72	2.658	68
42.96	2.105	43
32.86	2.726	36
51.69	1.768	35
53.48	1.713	32
29.80	2.998	28



6.
Starting from a structure optimized by DFT (GGA-PBE), the powder diffractogram of Pr2NiGe4Pd was simulated for Cu Kα X-rays.
No peak broadening, texture or thermal motion is included.

Crystal structure
Cell: 4.352 8.859 8.859 Å, 28.16 90.00 90.00°
Fractional positions:
Pr  0.000  0.000  0.000
Pr  0.500  0.215  0.215
Ni  0.000  0.786  0.786
Ge  0.000  0.352  0.352
Ge  0.000  0.649  0.649
Ge  0.500  0.572  0.572
Ge  0.500  0.850  0.850
Pd  0.500  0.428  0.428

Principal peaks in the range 5° ≤ 2θ ≤ 70°, by intensity:
2θ (°)	d/Å	I (rel.)
33.17	2.701	100
33.34	2.687	50
41.50	2.176	35
41.92	2.155	34
37.59	2.393	33
29.63	3.015	30
54.24	1.691	25
60.46	1.531	23



7.
Starting from a structure optimized by DFT (GGA-PBE), the powder diffractogram of Pr2NiGe6 was simulated for Cu Kα X-rays.
No peak broadening, texture or thermal motion is included.

Crystal structure
Cell: 11.368 11.368 4.187 Å, 90.00 90.00 159.53°
Fractional positions:
Pr  0.170  0.830  0.000
Pr  0.830  0.170  0.000
Ni  0.500  0.500  0.500
Ge  0.062  0.938  0.500
Ge  0.286  0.714  0.500
Ge  0.439  0.561  0.000
Ge  0.561  0.439  0.000
Ge  0.714  0.286  0.500
Ge  0.938  0.062  0.500

Principal peaks in the range 5° ≤ 2θ ≤ 70°, by intensity:
2θ (°)	d/Å	I (rel.)
33.07	2.709	100
36.87	2.438	91
43.21	2.094	41
25.07	3.552	37
44.87	2.020	37
26.59	3.352	35
32.00	2.797	30
42.71	2.117	30



8.
Starting from a structure optimized by DFT (GGA-PBE), the powder diffractogram of PrSmNi2Ge4 was simulated for Cu Kα X-rays.
No peak broadening, texture or thermal motion is included.

Crystal structure
Cell: 4.241 8.644 8.644 Å, 28.41 90.00 90.00°
Fractional positions:
Pr  0.000  0.000  0.000
Sm  0.500  0.216  0.216
Ni  0.000  0.789  0.789
Ni  0.500  0.426  0.426
Ge  0.000  0.358  0.358
Ge  0.000  0.650  0.650
Ge  0.500  0.566  0.566
Ge  0.500  0.857  0.857

Principal peaks in the range 5° ≤ 2θ ≤ 70°, by intensity:
2θ (°)	d/Å	I (rel.)
33.92	2.643	100
42.63	2.121	59
34.09	2.630	39
38.59	2.333	30
30.27	2.952	21
61.87	1.500	19
55.68	1.651	19
58.85	1.569	17



9.
Starting from a structure optimized by DFT (GGA-PBE), the powder diffractogram of Rb4NiGeSe6 was simulated for Cu Kα X-rays.
No peak broadening, texture or thermal motion is included.

Crystal structure
Cell: 7.030 7.800 9.328 Å, 72.09 68.59 63.82°
Fractional positions:
Rb  0.000  0.000  0.000
Rb  0.177  0.391  0.252
Rb  0.409  0.749  0.446
Rb  0.768  0.645  0.803
Ni  0.707  0.144  0.447
Ge  0.465  0.253  0.811
Se  0.278  0.575  0.849
Se  0.353  0.188  0.620
Se  0.478  0.011  0.033
Se  0.705  0.364  0.223
Se  0.828  0.207  0.624
Se  0.890  0.837  0.397

Principal peaks in the range 5° ≤ 2θ ≤ 70°, by intensity:
2θ (°)	d/Å	I (rel.)
26.13	3.410	100
26.39	3.377	81
25.34	3.515	74
31.81	2.814	45
15.45	5.734	31
52.06	1.757	30
42.50	2.127	29
29.83	2.995	25



10.
Starting from a structure optimized by DFT (GGA-PBE), the powder diffractogram of ScReNiGe was simulated for Cu Kα X-rays.
No peak broadening, texture or thermal motion is included.

Crystal structure
Cell: 4.444 4.444 4.444 Å, 60.00 60.00 60.00°
Fractional positions:
Sc  0.000  0.000  0.000
Re  0.750  0.750  0.750
Ni  0.500  0.500  0.500
Ge  0.250  0.250  0.250

Principal peaks in the range 5° ≤ 2θ ≤ 70°, by intensity:
2θ (°)	d/Å	I (rel.)
40.61	2.222	100
24.54	3.628	22
28.41	3.142	21
58.77	1.571	16
48.02	1.895	11
66.55	1.405	9
50.30	1.814	6
64.65	1.442	5



11.
Starting from a structure optimized by DFT (GGA-PBE), the powder diffractogram of NiGe2S was simulated for Cu Kα X-rays.
No peak broadening, texture or thermal motion is included.

Crystal structure
Cell: 3.327 6.499 6.317 Å, 90.00 90.00 90.00°
Fractional positions:
Ni  0.000  0.002  0.000
Ni  0.000  0.998  0.500
Ge  0.000  0.277  0.751
Ge  0.000  0.723  0.251
Ge  0.500  0.143  0.258
Ge  0.500  0.857  0.758
S  0.500  0.498  0.143
S  0.500  0.502  0.643

Principal peaks in the range 5° ≤ 2θ ≤ 70°, by intensity:
2θ (°)	d/Å	I (rel.)
33.42	2.681	100
13.63	6.499	50
41.81	2.160	45
39.80	2.265	39
50.26	1.815	35
30.95	2.889	33
48.63	1.872	32
53.39	1.716	25



12.
Starting from a structure optimized by DFT (GGA-PBE), the powder diffractogram of Sc3Ni11Ge4 was simulated for Cu Kα X-rays.
No peak broadening, texture or thermal motion is included.

Crystal structure
Cell: 8.099 8.099 8.438 Å, 90.00 90.00 120.00°
Fractional positions:
Sc  0.197  0.393  0.250
Sc  0.197  0.803  0.250
Sc  0.393  0.197  0.750
Sc  0.607  0.803  0.250
Sc  0.803  0.197  0.750
Sc  0.803  0.607  0.750
Ni  0.128  0.564  0.750
Ni  0.154  0.307  0.594
Ni  0.154  0.307  0.906
Ni  0.154  0.846  0.594
Ni  0.154  0.846  0.906
Ni  0.307  0.154  0.094
Ni  0.307  0.154  0.406
Ni  0.333  0.667  0.006
Ni  0.333  0.667  0.494
Ni  0.436  0.564  0.750
Ni  0.436  0.872  0.750
Ni  0.564  0.128  0.250
Ni  0.564  0.436  0.250
Ni  0.667  0.333  0.506
Ni  0.667  0.333  0.994
Ni  0.693  0.846  0.594
Ni  0.693  0.846  0.906
Ni  0.846  0.154  0.094
Ni  0.846  0.154  0.406
Ni  0.846  0.693  0.094
Ni  0.846  0.693  0.406
Ni  0.872  0.436  0.250
Ge  0.000  0.000  0.250
Ge  0.000  0.000  0.750
Ge  0.000  0.500  0.000
Ge  0.000  0.500  0.500
Ge  0.500  0.000  0.000
Ge  0.500  0.000  0.500
Ge  0.500  0.500  0.000
Ge  0.500  0.500  0.500

Principal peaks in the range 5° ≤ 2θ ≤ 70°, by intensity:
2θ (°)	d/Å	I (rel.)
44.76	2.025	100
41.14	2.194	77
40.17	2.245	50
40.02	2.253	41
50.49	1.808	32
51.75	1.767	32
16.43	5.394	28
49.96	1.825	27